1.
TlSbAu: simulated X-ray diffraction stick pattern (Cu Kα (λ = 1.5418 Å)), based on a DFT-relaxed cell (PBE, OQMD).
No peak broadening, texture or thermal motion is included.

Cell and atoms:
Unit cell a=6.6709 b=14.6879 c=6.6365 alpha=90.00 beta=90.00 gamma=90.00
Space group Pna2_1 (No. 33)
Unique sites:
Tl 0.0822 0.2046 0.0000 x4
Tl 0.1250 0.9667 0.2740 x4
Sb 0.1066 0.4283 0.2661 x4
Sb 0.1516 0.6810 0.0199 x4
Au 0.0366 0.6085 0.3853 x4
Au 0.0379 0.8578 0.9102 x4

Peak list (8 most intense, 2θ = 15–90°, most intense first)
hkl	two_theta	I/Imax
2 2 1	32.45	100
1 6 1	41.59	81
0 2 2	29.54	75
1 2 3	44.90	57
2 0 1	29.98	49
1 5 0	33.34	46
3 2 1	44.73	41
1 4 1	30.89	38

2.
Y3SbAu9: simulated X-ray diffraction stick pattern (Cu Kα (λ = 1.5418 Å)), based on a DFT-relaxed cell (PBE, OQMD).
No peak broadening, texture or thermal motion is included.

Cell and atoms:
Unit cell a=8.1941 b=8.1941 c=9.1001 alpha=90.00 beta=90.00 gamma=120.00
Space group P6_3/m (No. 176)
Unique sites:
Y 0.0348 0.7124 0.2500 x6
Sb 0.0000 0.0000 0.0000 x2
Au 0.0341 0.6669 0.5888 x12
Au 0.3333 0.6667 0.0860 x4
Au 0.3333 0.6667 0.7500 x2

Peak list (8 most intense, 2θ = 15–90°, most intense first)
hkl	two_theta	I/Imax
3 0 0	38.04	100
1 1 3	36.87	81
2 0 3	39.06	34
1 2 3	45.12	26
3 0 6	74.29	22
3 2 3	65.02	21
2 2 3	54.01	19
1 1 1	23.82	15

3.
Sc7Au3: simulated X-ray diffraction stick pattern (Cu Kα (λ = 1.5418 Å)), based on a DFT-relaxed cell (PBE, OQMD).
No peak broadening, texture or thermal motion is included.

Cell and atoms:
Unit cell a=9.3377 b=9.3377 c=5.9380 alpha=90.00 beta=90.00 gamma=120.00
Space group P6_3mc (No. 186)
Unique sites:
Sc 0.0687 0.5343 0.0000 x6
Sc 0.1297 0.2595 0.7254 x6
Sc 0.3333 0.6667 0.5552 x2
Au 0.1932 0.3864 0.2791 x6

Peak list (8 most intense, 2θ = 15–90°, most intense first)
hkl	two_theta	I/Imax
2 0 1	26.67	100
1 0 1	18.54	73
3 0 1	36.61	73
2 2 0	38.57	48
2 0 2	37.58	48
2 1 2	42.45	43
3 2 1	51.62	36
2 0 0	21.98	31

4.
SrScTe2AuSe: simulated X-ray diffraction stick pattern (Cu Kα (λ = 1.5418 Å)), based on a DFT-relaxed cell (PBE, OQMD).
No peak broadening, texture or thermal motion is included.

Cell and atoms:
Unit cell a=4.1647 b=14.5365 c=10.6185 alpha=90.00 beta=90.00 gamma=90.00
Space group Cmcm (No. 63)
Unique sites:
Sr 0.0000 0.2481 0.2500 x4
Sc 0.0000 0.5000 0.0000 x4
Te 0.0000 0.1433 0.5429 x8
Au 0.0000 0.0333 0.7500 x4
Se 0.0000 0.4202 0.7500 x4

Peak list (8 most intense, 2θ = 15–90°, most intense first)
hkl	two_theta	I/Imax
1 3 2	33.00	100
1 3 1	29.51	87
0 0 4	33.77	57
0 4 2	29.79	48
1 1 0	22.20	47
2 0 0	43.46	33
1 3 5	51.88	27
1 5 3	45.90	25

5.
Sc2SnAu2: simulated X-ray diffraction stick pattern (Cu Kα (λ = 1.5418 Å)), based on a DFT-relaxed cell (PBE, OQMD).
No peak broadening, texture or thermal motion is included.

Cell and atoms:
Unit cell a=7.5995 b=7.5995 c=7.0822 alpha=90.00 beta=90.00 gamma=90.00
Space group P4_2/mnm (No. 136)
Unique sites:
Sc 0.1482 0.1482 0.0000 x4
Sc 0.1870 0.1870 0.5000 x4
Sn 0.0000 0.5000 0.2500 x4
Au 0.1306 0.8694 0.2882 x8

Peak list (8 most intense, 2θ = 15–90°, most intense first)
hkl	two_theta	I/Imax
2 1 2	36.65	100
3 1 0	37.42	64
2 1 0	26.22	57
0 0 2	25.15	46
3 1 2	45.62	39
3 2 2	50.38	20
0 0 4	51.57	20
3 2 0	42.91	19

6.
ScSnTe3Au: simulated X-ray diffraction stick pattern (Cu Kα (λ = 1.5418 Å)), based on a DFT-relaxed cell (PBE, OQMD).
No peak broadening, texture or thermal motion is included.

Cell and atoms:
Unit cell a=12.9708 b=4.2334 c=12.5341 alpha=90.00 beta=90.00 gamma=90.00
Space group Pnma (No. 62)
Unique sites:
Sc 0.0480 0.2500 0.1783 x4
Sn 0.1877 0.2500 0.4674 x4
Te 0.0254 0.7500 0.3496 x4
Te 0.0807 0.2500 0.9282 x4
Te 0.2336 0.7500 0.6619 x4
Au 0.2389 0.7500 0.3114 x4

Peak list (8 most intense, 2θ = 15–90°, most intense first)
hkl	two_theta	I/Imax
1 1 3	30.85	100
0 2 0	42.72	32
2 1 3	33.14	29
3 1 3	36.68	27
5 0 1	35.34	26
4 0 0	27.51	26
1 1 4	36.34	25
5 1 1	41.45	25